This entry pairs a crystal structure of NdH8C6O10 with its computed powder XRD pattern. Radiation: a wavelength of 1.5418 Å. Structure: a crystal structure in OQMD, relaxed with PBE.

Structure:
Cell: 8.113 8.394 8.916 Å, 95.60 115.26 110.57°
Fractional coordinates of all 50 atoms:
Nd (0.088, 0.025, 0.277)
Nd (0.912, 0.975, 0.723)
H (0.044, 0.667, 0.697)
H (0.101, 0.793, 0.581)
H (0.159, 0.718, 0.401)
H (0.207, 0.310, 0.115)
H (0.231, 0.448, 0.522)
H (0.360, 0.888, 0.556)
H (0.367, 0.578, 0.466)
H (0.414, 0.367, 0.297)
H (0.586, 0.633, 0.703)
H (0.633, 0.422, 0.534)
H (0.640, 0.112, 0.444)
H (0.769, 0.552, 0.478)
H (0.793, 0.690, 0.885)
H (0.841, 0.282, 0.599)
H (0.899, 0.207, 0.419)
H (0.956, 0.333, 0.303)
C (0.128, 0.443, 0.876)
C (0.316, 0.579, 0.017)
C (0.332, 0.998, 0.116)
C (0.358, 0.217, 0.682)
C (0.456, 0.000, 0.040)
C (0.470, 0.677, 0.150)
C (0.530, 0.323, 0.850)
C (0.544, 0.000, 0.960)
C (0.642, 0.783, 0.318)
C (0.668, 0.002, 0.884)
C (0.684, 0.421, 0.983)
C (0.872, 0.557, 0.124)
O (0.012, 0.755, 0.636)
O (0.024, 0.479, 0.744)
O (0.081, 0.289, 0.899)
O (0.152, 0.974, 0.015)
O (0.187, 0.130, 0.670)
O (0.214, 0.845, 0.469)
O (0.262, 0.311, 0.238)
O (0.344, 0.568, 0.566)
O (0.391, 0.221, 0.555)
O (0.400, 0.020, 0.277)
O (0.600, 0.980, 0.723)
O (0.609, 0.779, 0.445)
O (0.656, 0.432, 0.434)
O (0.738, 0.689, 0.762)
O (0.786, 0.155, 0.531)
O (0.813, 0.870, 0.330)
O (0.848, 0.026, 0.985)
O (0.919, 0.711, 0.101)
O (0.976, 0.521, 0.256)
O (0.988, 0.245, 0.364)

Top 8 peaks for 2θ = 5–70°, by intensity:
d [Å], I (rel.)
6.593, 100
7.516, 97
3.507, 25
4.006, 20
4.134, 19
3.928, 19
3.758, 19
4.413, 17